Starting from a GGA+U-relaxed structure, the powder XRD pattern of SrCoO3 was computed for Cu Kα (weighted mean of Kα1 and Kα2).
Peak positions follow from Bragg's law for the DFT cell and can differ from measured ones.

```
data_SrCoO3
_chemical_formula_sum 'Sr4 Co4 O12'
_cell_length_a 3.875
_cell_length_b 3.897
_cell_length_c 15.373
_cell_angle_alpha 90.04
_cell_angle_beta 90.04
_cell_angle_gamma 90.43
_space_group_name_H-M_alt 'P 1'
_space_group_IT_number 1
loop_
_space_group_symop_operation_xyz
'x,y,z'
loop_
_atom_site_label
_atom_site_type_symbol
_atom_site_fract_x
_atom_site_fract_y
_atom_site_fract_z
Sr1 Sr 0.000 0.000 0.000
Sr2 Sr 0.000 0.000 0.245
Sr3 Sr 0.000 0.999 0.745
Sr4 Sr 0.999 0.999 0.500
Co1 Co 0.499 0.499 0.373
Co2 Co 0.500 0.499 0.623
Co3 Co 0.500 0.500 0.123
Co4 Co 0.500 0.500 0.873
O1 O 0.000 0.500 0.122
O2 O 0.000 0.500 0.373
O3 O 0.000 0.500 0.622
O4 O 0.000 0.500 0.873
O5 O 0.499 0.499 0.502
O6 O 0.500 0.000 0.122
O7 O 0.500 0.000 0.373
O8 O 0.500 0.000 0.873
O9 O 0.500 0.500 0.002
O10 O 0.500 0.999 0.623
O11 O 0.501 0.498 0.743
O12 O 0.501 0.501 0.243
```

Principal peaks in the range 2θ = 10–90°, in order of rising 2θ:
(1 -1 0), 32.46 deg, 2.758 Å, intensity 26; (1 1 0), 32.74 deg, 2.735 Å, intensity 100; (1 0 4), 32.83 deg, 2.728 Å, intensity 25; (0 2 0), 46.61 deg, 1.949 Å, intensity 19; (2 0 0), 46.89 deg, 1.938 Å, intensity 19; (0 0 8), 47.30 deg, 1.922 Å, intensity 18; (2 1 4), 58.53 deg, 1.577 Å, intensity 19; (2 2 0), 68.58 deg, 1.368 Å, intensity 16

***

Starting from a GGA+U-relaxed structure, the powder XRD pattern of Sr2Co2O5 was computed for Cu Kα (weighted mean of Kα1 and Kα2).
Peak positions follow from Bragg's law for the DFT cell and can differ from measured ones.

```
data_Sr2Co2O5
_chemical_formula_sum 'Sr8 Co8 O20'
_cell_length_a 16.284
_cell_length_b 5.531
_cell_length_c 5.438
_cell_angle_alpha 90.00
_cell_angle_beta 90.00
_cell_angle_gamma 90.00
_space_group_name_H-M_alt 'I m a 2'
_space_group_IT_number 46
loop_
_space_group_symop_operation_xyz
'x,y,z'
'-x,-y,z'
'-x+1/2,y,z'
'x+1/2,-y,z'
'x+1/2,y+1/2,z+1/2'
'-x+1/2,-y+1/2,z+1/2'
'-x,y+1/2,z+1/2'
'x,-y+1/2,z+1/2'
loop_
_atom_site_label
_atom_site_type_symbol
_atom_site_fract_x
_atom_site_fract_y
_atom_site_fract_z
Sr1 Sr 0.111 0.009 0.000
Co1 Co 0.000 0.000 0.498
Co2 Co 0.250 0.564 0.031
O1 O 0.004 0.749 0.250
O2 O 0.144 0.030 0.486
O3 O 0.250 0.619 0.384
```

Principal peaks in the range 2θ = 10–90°, in order of rising 2θ:
(4 1 1), 31.87 deg, 2.808 Å, intensity 100; (0 2 0), 32.37 deg, 2.765 Å, intensity 31; (0 0 2), 32.94 deg, 2.719 Å, intensity 34; (8 0 0), 44.51 deg, 2.035 Å, intensity 16; (0 2 2), 46.86 deg, 1.939 Å, intensity 32; (4 3 1), 57.43 deg, 1.605 Å, intensity 17; (4 1 3), 58.15 deg, 1.586 Å, intensity 19; (8 2 2), 66.62 deg, 1.404 Å, intensity 15